Diffraction record for Sc3Pt3Rh. The powder diffraction line list is computed, not measured: it uses a structure optimized by DFT (GGA-PBE) and λ = 1.5418 Å (Cu Kα).

The 10 most intense peaks (10° ≤ 2θ ≤ 90°), by angle:
- 2θ = 24.95°, I 17.6
- 2θ = 27.37°, I 76.7
- 2θ = 35.57°, I 67.5
- 2θ = 37.37°, I 26.4
- 2θ = 42.38°, I 100.0
- 2θ = 52.55°, I 17.5
- 2θ = 56.49°, I 20.7
- 2θ = 59.02°, I 19.6
- 2θ = 62.69°, I 15.9
- 2θ = 73.10°, I 24.5

```
Sc3Pt3Rh
1.0
7.9804 0.0000 0.0000
0.0000 7.9804 0.0000
0.0000 0.0000 7.9804
Sc Pt Rh
12 12 4
direct
0.0285 0.2247 0.8770
0.1230 0.5285 0.2753
0.2247 0.8770 0.0285
0.2753 0.1230 0.5285
0.3770 0.4715 0.7753
0.4715 0.7753 0.3770
0.5285 0.2753 0.1230
0.6230 0.9715 0.7247
0.7247 0.6230 0.9715
0.7753 0.3770 0.4715
0.8770 0.0285 0.2247
0.9715 0.7247 0.6230
0.0969 0.4031 0.5969
0.1361 0.8639 0.3639
0.1939 0.1939 0.1939
0.3061 0.8061 0.6939
0.3639 0.1361 0.8639
0.4031 0.5969 0.0969
0.5969 0.0969 0.4031
0.6361 0.6361 0.6361
0.6939 0.3061 0.8061
0.8061 0.6939 0.3061
0.8639 0.3639 0.1361
0.9031 0.9031 0.9031
0.0819 0.5819 0.9181
0.4181 0.4181 0.4181
0.5819 0.9181 0.0819
0.9181 0.0819 0.5819
```

Diffraction record for KNaAuBr3. The powder diffraction line list is computed, not measured: it uses a structure optimized by DFT (GGA-PBE) and λ = 1.5418 Å (Cu Kα).

The 10 most intense peaks (10° ≤ 2θ ≤ 90°), by angle:
- 2θ = 13.73°, I 19.5
- 2θ = 16.08°, I 55.6
- 2θ = 19.36°, I 30.7
- 2θ = 22.77°, I 68.0
- 2θ = 25.45°, I 100.0
- 2θ = 28.60°, I 63.7
- 2θ = 30.19°, I 27.5
- 2θ = 32.95°, I 39.3
- 2θ = 39.46°, I 25.5
- 2θ = 42.97°, I 45.2

```
KNaAuBr3
1.0
9.2067 -3.7861 0.0000
9.2067 3.7861 0.0000
-0.5775 0.0000 6.4479
K Na Au Br
2 2 2 6
direct
0.2354 0.2354 0.2607
0.7646 0.7646 0.7393
0.0647 0.0647 0.6883
0.9353 0.9353 0.3117
0.2641 0.7359 0.0000
0.7359 0.2641 0.0000
0.1710 0.6681 0.6825
0.2158 0.2158 0.7600
0.3319 0.8290 0.3175
0.6681 0.1710 0.6825
0.7842 0.7842 0.2400
0.8290 0.3319 0.3175
```

Diffraction record for La4Sn2C. The powder diffraction line list is computed, not measured: it uses a structure optimized by DFT (GGA-PBE) and λ = 1.5418 Å (Cu Kα).

The 10 most intense peaks (10° ≤ 2θ ≤ 90°), by angle:
- 2θ = 27.34°, I 59.1
- 2θ = 27.53°, I 42.3
- 2θ = 28.73°, I 60.5
- 2θ = 30.16°, I 37.7
- 2θ = 30.35°, I 24.1
- 2θ = 32.00°, I 100.0
- 2θ = 36.79°, I 28.2
- 2θ = 37.50°, I 17.1
- 2θ = 47.23°, I 17.9
- 2θ = 51.75°, I 17.9

```
La4Sn2C
1.0
6.9901 0.0000 0.0000
0.0000 7.0652 0.0000
-3.4772 0.0000 9.1329
La Sn C
8 4 2
direct
0.0081 0.9999 0.2660
0.0081 0.5001 0.2660
0.3905 0.2500 0.0616
0.4278 0.2500 0.6487
0.5722 0.7500 0.3513
0.6095 0.7500 0.9384
0.9919 0.0001 0.7340
0.9919 0.4999 0.7340
0.1949 0.7500 0.0402
0.2971 0.7500 0.5791
0.7029 0.2500 0.4209
0.8051 0.2500 0.9598
0.2256 0.2500 0.8003
0.7744 0.7500 0.1997
```

Diffraction record for Ac3SiAu. The powder diffraction line list is computed, not measured: it uses a structure optimized by DFT (GGA-PBE) and λ = 1.5418 Å (Cu Kα).

The 10 most intense peaks (10° ≤ 2θ ≤ 90°), by angle:
- 2θ = 14.70°, I 29.4
- 2θ = 20.37°, I 20.6
- 2θ = 24.42°, I 15.6
- 2θ = 25.98°, I 100.0
- 2θ = 29.64°, I 58.8
- 2θ = 32.63°, I 32.4
- 2θ = 36.79°, I 17.0
- 2θ = 43.39°, I 33.1
- 2θ = 45.13°, I 15.1
- 2θ = 51.27°, I 15.7

```
Ac3SiAu
1.0
8.3423 0.0000 0.0000
-4.1711 7.2246 0.0000
0.0000 0.0000 10.9337
Ac Si Au
9 3 3
direct
0.0148 0.5074 0.0000
0.1593 0.3186 0.3333
0.1593 0.8407 0.3333
0.3481 0.1741 0.6667
0.4926 0.5074 0.0000
0.4926 0.9852 0.0000
0.6814 0.8407 0.3333
0.8259 0.1741 0.6667
0.8259 0.6519 0.6667
0.0000 0.0000 0.5184
0.3333 0.6667 0.1851
0.6667 0.3333 0.8517
0.0000 0.0000 0.1312
0.3333 0.6667 0.7979
0.6667 0.3333 0.4645
```

Diffraction record for HBr2Cl5. The powder diffraction line list is computed, not measured: it uses a structure optimized by DFT (GGA-PBE) and λ = 1.5418 Å (Cu Kα).

The 10 most intense peaks (10° ≤ 2θ ≤ 90°), by angle:
- 2θ = 13.62°, I 100.0
- 2θ = 17.72°, I 21.8
- 2θ = 22.13°, I 33.4
- 2θ = 22.70°, I 31.8
- 2θ = 27.44°, I 26.9
- 2θ = 35.88°, I 27.5
- 2θ = 38.20°, I 15.2
- 2θ = 38.90°, I 13.2
- 2θ = 45.14°, I 16.2
- 2θ = 46.37°, I 11.4

```
HBr2Cl5
1.0
14.5801 0.0000 0.0000
0.0000 7.0797 0.0000
-3.2067 0.0000 6.3166
H Br Cl
2 4 10
direct
0.0000 0.0000 0.0000
0.5000 0.5000 0.0000
0.1264 0.0000 0.6361
0.1262 0.5000 0.1378
0.6262 0.0000 0.1378
0.6264 0.5000 0.6361
0.1480 0.2486 0.9083
0.1480 0.7514 0.9083
0.1501 0.2494 0.4090
0.1501 0.7506 0.4090
0.4014 0.5000 0.9275
0.6480 0.2514 0.9083
0.6480 0.7486 0.9083
0.6501 0.2506 0.4090
0.6501 0.7494 0.4090
0.9014 0.0000 0.9275
```

Diffraction record for Nd2YAg5. The powder diffraction line list is computed, not measured: it uses a structure optimized by DFT (GGA-PBE) and λ = 1.5418 Å (Cu Kα).

The 10 most intense peaks (10° ≤ 2θ ≤ 90°), by angle:
- 2θ = 34.82°, I 57.8
- 2θ = 35.05°, I 100.0
- 2θ = 50.07°, I 20.0
- 2θ = 50.74°, I 8.9
- 2θ = 62.58°, I 35.2
- 2θ = 63.02°, I 12.2
- 2θ = 73.52°, I 6.2
- 2θ = 74.06°, I 8.1
- 2θ = 83.99°, I 8.7
- 2θ = 84.12°, I 7.6

```
Nd2YAg5
1.0
5.1527 0.0000 0.0000
0.0000 5.1527 0.0000
0.0000 0.0000 14.3941
Nd Y Ag
4 2 10
direct
0.0000 0.0000 0.2298
0.0000 0.0000 0.7702
0.5000 0.5000 0.2702
0.5000 0.5000 0.7298
0.0000 0.0000 0.5000
0.5000 0.5000 0.0000
0.0000 0.0000 0.0000
0.0000 0.5000 0.1127
0.0000 0.5000 0.3873
0.0000 0.5000 0.6127
0.0000 0.5000 0.8873
0.5000 0.0000 0.1127
0.5000 0.0000 0.3873
0.5000 0.0000 0.6127
0.5000 0.0000 0.8873
0.5000 0.5000 0.5000
```

Diffraction record for AcSmEr3. The powder diffraction line list is computed, not measured: it uses a structure optimized by DFT (GGA-PBE) and λ = 1.5418 Å (Cu Kα).

The 10 most intense peaks (10° ≤ 2θ ≤ 90°), by angle:
- 2θ = 28.42°, I 30.1
- 2θ = 29.85°, I 100.0
- 2θ = 32.22°, I 53.5
- 2θ = 33.60°, I 25.1
- 2θ = 35.54°, I 61.2
- 2θ = 50.47°, I 13.5
- 2θ = 52.18°, I 26.8
- 2θ = 60.52°, I 26.9
- 2θ = 61.15°, I 17.3
- 2θ = 84.56°, I 13.6

```
AcSmEr3
1.0
1.8084 -13.3345 0.0000
1.8084 13.3345 0.0000
0.0000 0.0000 7.1199
Ac Sm Er
2 2 6
direct
0.2034 0.7966 0.5000
0.7966 0.2034 0.0000
0.4075 0.5925 0.2437
0.5925 0.4075 0.7437
0.0028 0.9972 0.0036
0.1761 0.8239 0.0017
0.4075 0.5925 0.7614
0.5925 0.4075 0.2614
0.8239 0.1761 0.5017
0.9972 0.0028 0.5036
```

Diffraction record for LaZr2Rh. The powder diffraction line list is computed, not measured: it uses a structure optimized by DFT (GGA-PBE) and λ = 1.5418 Å (Cu Kα).

The 10 most intense peaks (10° ≤ 2θ ≤ 90°), by angle:
- 2θ = 28.70°, I 10.1
- 2θ = 33.42°, I 7.0
- 2θ = 34.71°, I 100.0
- 2θ = 37.71°, I 49.4
- 2θ = 43.10°, I 6.2
- 2θ = 51.27°, I 8.2
- 2θ = 53.02°, I 9.0
- 2θ = 54.40°, I 16.8
- 2θ = 60.19°, I 10.0
- 2θ = 66.16°, I 29.6

```
LaZr2Rh
1.0
3.3733 0.0000 0.0000
0.0000 3.3733 0.0000
0.0000 0.0000 8.0428
La Zr Rh
1 2 1
direct
0.0000 0.0000 0.0000
0.5000 0.5000 0.3060
0.5000 0.5000 0.6940
0.0000 0.0000 0.5000
```

Diffraction record for MnNi7Bi2As2. The powder diffraction line list is computed, not measured: it uses a structure optimized by DFT (GGA-PBE) and λ = 1.5418 Å (Cu Kα).

The 10 most intense peaks (10° ≤ 2θ ≤ 90°), by angle:
- 2θ = 12.40°, I 39.3
- 2θ = 28.81°, I 78.7
- 2θ = 31.33°, I 24.3
- 2θ = 32.73°, I 47.1
- 2θ = 34.37°, I 47.9
- 2θ = 34.96°, I 73.0
- 2θ = 47.19°, I 100.0
- 2θ = 49.40°, I 63.4
- 2θ = 58.19°, I 25.9
- 2θ = 60.55°, I 32.8

```
MnNi7Bi2As2
1.0
2.6083 -2.6096 0.0000
2.6083 2.6096 0.0000
-2.5936 0.0000 14.2749
Mn Ni Bi As
1 7 2 2
direct
0.0000 0.0000 0.0000
0.0610 0.5610 0.1224
0.3077 0.3077 0.6154
0.4390 0.9390 0.8776
0.5000 0.5000 0.0000
0.5610 0.0610 0.1224
0.6923 0.6923 0.3846
0.9390 0.4390 0.8776
0.2090 0.2090 0.4187
0.7910 0.7910 0.5813
0.3890 0.3890 0.7771
0.6110 0.6110 0.2229
```

Diffraction record for LiHg3. The powder diffraction line list is computed, not measured: it uses a structure optimized by DFT (GGA-PBE) and λ = 1.5418 Å (Cu Kα).

The 10 most intense peaks (10° ≤ 2θ ≤ 90°), by angle:
- 2θ = 11.53°, I 14.4
- 2θ = 28.62°, I 36.5
- 2θ = 35.09°, I 12.4
- 2θ = 35.19°, I 100.0
- 2θ = 37.25°, I 47.1
- 2θ = 52.10°, I 16.3
- 2θ = 53.70°, I 16.7
- 2θ = 61.78°, I 15.1
- 2θ = 65.83°, I 41.6
- 2θ = 66.85°, I 12.6

```
LiHg3
1.0
3.4137 0.0000 0.0000
0.0000 3.4137 0.0000
0.0000 0.0000 7.6724
Li Hg
1 3
direct
0.0000 0.0000 0.0000
0.0000 0.0000 0.5000
0.5000 0.5000 0.2207
0.5000 0.5000 0.7793
```

Diffraction record for Pr4TlSbH. The powder diffraction line list is computed, not measured: it uses a structure optimized by DFT (GGA-PBE) and λ = 1.5418 Å (Cu Kα).

The 10 most intense peaks (10° ≤ 2θ ≤ 90°), by angle:
- 2θ = 28.58°, I 74.4
- 2θ = 28.71°, I 72.0
- 2θ = 30.18°, I 57.3
- 2θ = 31.55°, I 48.7
- 2θ = 33.60°, I 75.2
- 2θ = 33.71°, I 74.2
- 2θ = 38.26°, I 100.0
- 2θ = 40.37°, I 22.4
- 2θ = 49.48°, I 58.1
- 2θ = 60.61°, I 23.3

```
Pr4TlSbH
1.0
3.3188 -8.8846 0.0000
3.3188 8.8846 0.0000
0.0000 0.0000 6.6713
Pr Tl Sb H
8 2 2 2
direct
0.0000 0.5000 0.0000
0.0000 0.5000 0.5000
0.0705 0.9295 0.7500
0.4286 0.5714 0.7500
0.5000 0.0000 0.0000
0.5000 0.0000 0.5000
0.5714 0.4286 0.2500
0.9295 0.0705 0.2500
0.1106 0.8894 0.2500
0.8894 0.1106 0.7500
0.3870 0.6130 0.2500
0.6130 0.3870 0.7500
0.2926 0.7074 0.7500
0.7074 0.2926 0.2500
```

Diffraction record for Cs5In2Au4. The powder diffraction line list is computed, not measured: it uses a structure optimized by DFT (GGA-PBE) and λ = 1.5418 Å (Cu Kα).

The 10 most intense peaks (10° ≤ 2θ ≤ 90°), by angle:
- 2θ = 13.23°, I 25.0
- 2θ = 19.16°, I 17.4
- 2θ = 28.42°, I 100.0
- 2θ = 29.63°, I 31.0
- 2θ = 32.74°, I 26.8
- 2θ = 44.73°, I 20.0
- 2θ = 47.41°, I 11.3
- 2θ = 51.82°, I 16.5
- 2θ = 55.82°, I 15.3
- 2θ = 60.38°, I 14.3

```
Cs5In2Au4
1.0
9.0461 -2.7356 0.0000
9.0461 2.7356 0.0000
-0.0170 0.0000 9.9364
Cs In Au
5 2 4
direct
0.0000 0.0000 0.0000
0.3409 0.3409 0.0116
0.3504 0.3504 0.5120
0.6496 0.6496 0.4880
0.6591 0.6591 0.9884
0.0135 0.0135 0.6477
0.9865 0.9865 0.3523
0.1639 0.1639 0.7566
0.4980 0.4980 0.2650
0.5020 0.5020 0.7350
0.8361 0.8361 0.2434
```

Diffraction record for Cu7Si6. The powder diffraction line list is computed, not measured: it uses a structure optimized by DFT (GGA-PBE) and λ = 1.5418 Å (Cu Kα).

The 10 most intense peaks (10° ≤ 2θ ≤ 90°), by angle:
- 2θ = 20.88°, I 65.6
- 2θ = 22.06°, I 70.7
- 2θ = 41.97°, I 73.8
- 2θ = 42.49°, I 45.5
- 2θ = 42.62°, I 100.0
- 2θ = 45.00°, I 50.0
- 2θ = 46.00°, I 83.4
- 2θ = 46.35°, I 25.8
- 2θ = 49.77°, I 83.0
- 2θ = 76.32°, I 40.0

```
Cu7Si6
1.0
2.4955 1.4408 8.0583
-2.4955 1.4408 8.0583
0.0000 -2.8816 8.0583
Cu Si
7 6
direct
0.0000 0.0000 0.0000
0.0808 0.0808 0.5804
0.0808 0.5804 0.0808
0.4196 0.9192 0.9192
0.5804 0.0808 0.0808
0.9192 0.4196 0.9192
0.9192 0.9192 0.4196
0.1671 0.1671 0.1671
0.3381 0.3381 0.3381
0.4459 0.4459 0.4459
0.5541 0.5541 0.5541
0.6619 0.6619 0.6619
0.8329 0.8329 0.8329
```